The following is a computed PXRD pattern of PrBrCl2. It was derived from the PBE geometry in the Materials Project, using λ = 1.5418 Å (Cu Kα).
Neutral-atom scattering factors, no anomalous dispersion.

Most intense lines, 10° ≤ 2θ ≤ 90°, sorted by position:
- 2θ = 13.05°, 6.786 Å, intensity 65
- 2θ = 13.19°, 6.712 Å, intensity 68
- 2θ = 13.32°, 6.649 Å, intensity 96
- 2θ = 24.40°, 3.648 Å, intensity 69
- 2θ = 24.49°, 3.634 Å, intensity 42
- 2θ = 33.53°, 2.673 Å, intensity 77
- 2θ = 33.76°, 2.655 Å, intensity 100
- 2θ = 33.97°, 2.639 Å, intensity 73
- 2θ = 41.03°, 2.200 Å, intensity 48
- 2θ = 41.61°, 2.171 Å, intensity 73

Cell and atoms:
```
PrBrCl2
1.0
7.675 0.000 0.000
0.000 4.340 0.000
-3.762 0.000 6.786
Pr Br Cl
2 2 4
Cartesian
0.000 0.000 0.000
-0.001 2.170 4.564
-1.310 0.000 2.824
2.113 0.000 4.199
1.104 2.170 1.616
-0.781 0.000 6.370
5.662 2.170 0.113
4.740 2.170 4.996
```

The following is a computed PXRD pattern of Cs2RbTlBr6. It was derived from the PBE geometry in the Materials Project, using λ = 1.5418 Å (Cu Kα).
Neutral-atom scattering factors, no anomalous dispersion.

Most intense lines, 10° ≤ 2θ ≤ 90°, sorted by position:
- 2θ = 12.66°, 6.993 Å, intensity 28
- 2θ = 20.74°, 4.282 Å, intensity 70
- 2θ = 25.48°, 3.496 Å, intensity 39
- 2θ = 29.50°, 3.028 Å, intensity 100
- 2θ = 36.34°, 2.472 Å, intensity 30
- 2θ = 42.21°, 2.141 Å, intensity 71
- 2θ = 52.33°, 1.748 Å, intensity 24
- 2θ = 56.89°, 1.618 Å, intensity 21
- 2θ = 69.40°, 1.354 Å, intensity 29
- 2θ = 77.17°, 1.236 Å, intensity 21

Cell and atoms:
```
Cs2RbTlBr6
1.0
0.000 6.056 6.056
6.056 0.000 6.056
6.056 6.056 0.000
Cs Rb Tl Br
2 1 1 6
Cartesian
3.028 3.028 3.028
9.084 9.084 9.084
0.000 0.000 0.000
6.056 6.056 6.056
6.056 6.056 3.272
6.056 3.272 6.056
8.839 6.056 6.056
3.272 6.056 6.056
6.056 8.839 6.056
6.056 6.056 8.839
```

The following is a computed PXRD pattern of MgTe2Mo2W2Se4S2. It was derived from the PBE geometry in the Materials Project, using λ = 1.5418 Å (Cu Kα).
Neutral-atom scattering factors, no anomalous dispersion.

Most intense lines, 10° ≤ 2θ ≤ 90°, sorted by position:
- 2θ = 11.61°, 7.620 Å, intensity 56
- 2θ = 30.97°, 2.887 Å, intensity 54
- 2θ = 32.51°, 2.754 Å, intensity 34
- 2θ = 34.81°, 2.578 Å, intensity 79
- 2θ = 37.94°, 2.372 Å, intensity 44
- 2θ = 40.41°, 2.232 Å, intensity 100
- 2θ = 41.75°, 2.163 Å, intensity 20
- 2θ = 47.69°, 1.907 Å, intensity 23
- 2θ = 55.08°, 1.667 Å, intensity 41
- 2θ = 56.07°, 1.640 Å, intensity 23

Cell and atoms:
```
MgTe2Mo2W2Se4S2
1.0
3.335 0.000 0.000
-1.667 2.888 0.000
0.000 0.000 45.719
Mg Te Mo W Se S
1 2 2 2 4 2
Cartesian
0.000 0.000 0.000
1.667 0.963 22.356
1.667 0.963 26.154
0.000 1.925 24.254
1.667 0.963 32.846
0.000 1.925 41.098
1.667 0.963 4.657
0.000 1.925 2.965
0.000 1.925 6.331
1.667 0.963 39.423
1.667 0.963 42.791
0.000 1.925 31.327
0.000 1.925 34.365
```